The following is a theoretical powder diffraction line list of Li2Co2SiO6. It was derived from a DFT-relaxed cell (GGA+U, Alexandria), using Cu Kα (λ = 1.5418 Å).

Structural model:
```
Li2Co2SiO6
1.0
4.146 -2.558 0.000
4.146 2.558 0.000
0.000 0.000 9.981
Li Co Si O
4 4 2 12
Cartesian
2.073 0.740 2.495
2.073 -0.740 7.486
6.219 0.740 2.495
6.219 -0.740 7.486
1.383 0.000 0.000
2.763 0.000 4.991
5.529 0.000 4.991
6.909 0.000 0.000
0.000 0.000 4.991
4.146 0.000 0.000
1.326 0.652 6.049
4.146 1.593 0.904
2.820 0.652 8.923
1.326 -0.652 3.932
4.146 0.964 5.894
2.820 -0.652 1.058
5.472 0.652 8.923
4.146 -0.964 4.087
6.966 0.652 6.049
5.472 -0.652 1.058
4.146 -1.593 9.078
6.966 -0.652 3.932
```

Most intense lines, 10 to 90 degrees two-theta, sorted by position:
2θ/deg, I_rel
17.77, 100
35.09, 9
38.09, 21
39.60, 17
46.24, 30
51.14, 10
59.95, 18
64.94, 14